Starting from a structure optimized by DFT (GGA-PBE), the X-ray diffraction stick pattern of KPm3 was simulated for a wavelength of 1.5418 Å.
Kinematic intensities with the Lorentz-polarization factor, no thermal factor.

Principal peaks in the range 2θ from 10° to 80°, in order of rising 2θ:
d 4.749, 18.69 deg, I 135; d 3.083, 28.96 deg, I 1000; d 2.749, 32.57 deg, I 183; d 2.633, 34.06 deg, I 325; d 1.901, 47.84 deg, I 248; d 1.862, 48.93 deg, I 116; d 1.644, 55.92 deg, I 155; d 1.594, 57.87 deg, I 280; d 1.541, 60.02 deg, I 125; d 1.232, 77.45 deg, I 118

Structure:
```
KPm3
1.0
-2.6326 2.6326 5.4983
2.6326 -2.6326 5.4983
2.6326 2.6326 -5.4983
K Pm
1 3
Cartesian
0.0000 0.0000 0.0000
2.6326 0.0000 2.7492
0.0000 0.0000 5.4983
0.0000 2.6326 2.7492
```

Starting from a structure optimized by DFT (GGA-PBE), the X-ray diffraction stick pattern of CoN was simulated for a wavelength of 1.5418 Å.
Kinematic intensities with the Lorentz-polarization factor, no thermal factor.

Principal peaks in the range 2θ from 10° to 80°, in order of rising 2θ:
d 2.314, 38.93 deg, I 914; d 2.004, 45.26 deg, I 1000; d 1.417, 65.93 deg, I 561; d 1.208, 79.29 deg, I 327

Structure:
```
CoN
1.0
0.0000 2.0037 2.0037
2.0037 0.0000 2.0037
2.0037 2.0037 0.0000
Co N
1 1
Cartesian
0.0000 0.0000 0.0000
2.0037 2.0037 2.0037
```